Starting from a structure optimized by DFT (GGA-PBE), the powder XRD pattern of Cd3HgAu was simulated for a wavelength of 1.5418 Å.
Peak positions follow from Bragg's law for the DFT cell and can differ from measured ones.

Crystal structure
```
data_Cd3HgAu
_chemical_formula_sum 'Cd12 Hg4 Au4'
_cell_length_a 7.128
_cell_length_b 7.345
_cell_length_c 9.809
_cell_angle_alpha 90.00
_cell_angle_beta 114.03
_cell_angle_gamma 90.00
_space_group_name_H-M_alt 'P 1 21/c 1'
_space_group_IT_number 14
loop_
_space_group_symop_operation_xyz
'x,y,z'
'-x,-y,-z'
'-x,y+1/2,-z+1/2'
'x,-y+1/2,z+1/2'
loop_
_atom_site_label
_atom_site_type_symbol
_atom_site_fract_x
_atom_site_fract_y
_atom_site_fract_z
Cd1 Cd 0.069 0.192 0.063
Cd2 Cd 0.263 0.528 0.948
Cd3 Cd 0.383 0.642 0.681
Hg1 Hg 0.158 0.522 0.262
Au1 Au 0.449 0.185 0.037
```

Main lines, by intensity (15 to 90 degrees two-theta):
(hkl)  2θ (°)  intensity
3 1 -2  39.99  100
2 1 1  35.14  92
0 3 1  38.08  87
2 2 0  36.88  72
0 2 2  31.51  66
2 1 -3  33.69  52
1 1 -3  29.95  51
1 2 -2  30.94  49
1 3 1  42.08  37
0 1 4  42.18  36